No. 1
Calculated X-ray powder pattern
Compound: Ba3AgI3
Radiation: Cu Ka
Structure: a PBE-relaxed structure

Most intense lines, 10 to 90 degrees two-theta, sorted by position:
2theta, d [Å], I (rel.)
25.07, 3.552, 50
25.18, 3.537, 100
34.11, 2.628, 21
35.83, 2.506, 76
42.80, 2.113, 22
45.76, 1.983, 19

Cell and atoms:
Cell: 10.0477 10.0477 10.0477 Å, 123.19 116.91 90.00°
Sites, in units of the cell vectors:
1 Ba 0.2636 0.0136 0.2500
2 Ba 0.2708 0.0000 0.7708
3 Ba 0.2708 0.5000 0.2708
4 Ba 0.7292 0.0000 0.2292
5 Ba 0.7292 0.5000 0.7292
6 Ba 0.7364 0.9864 0.7500
7 Ag 0.4868 0.2368 0.2500
8 Ag 0.5132 0.7632 0.7500
9 I 0.0000 0.2510 0.2510
10 I 0.0000 0.7490 0.7490
11 I 0.0089 0.7589 0.2500
12 I 0.5000 0.2510 0.7510
13 I 0.5000 0.7490 0.2490
14 I 0.9911 0.2411 0.7500

=====

No. 2
Calculated X-ray powder pattern
Compound: Ce3FeB2Rh9
Radiation: Cu Ka
Structure: a PBE-relaxed structure

Most intense lines, 10 to 90 degrees two-theta, sorted by position:
2theta, d [Å], I (rel.)
32.49, 2.756, 36
37.09, 2.424, 100
41.79, 2.162, 79
57.53, 1.602, 20
63.55, 1.464, 24
73.20, 1.293, 19

Cell and atoms:
Cell: 5.8563 5.8563 8.2677 Å, 90.00 90.00 120.00°
Sites, in units of the cell vectors:
1 Ce 0.0000 0.0000 0.0000
2 Ce 0.3333 0.6667 0.6490
3 Ce 0.6667 0.3333 0.3510
4 Fe 0.0000 0.0000 0.5000
5 B 0.3333 0.6667 0.1495
6 B 0.6667 0.3333 0.8505
7 Rh 0.0000 0.5000 0.0000
8 Rh 0.1668 0.3336 0.2929
9 Rh 0.1668 0.8332 0.2929
10 Rh 0.3336 0.1668 0.7071
11 Rh 0.5000 0.0000 0.0000
12 Rh 0.5000 0.5000 0.0000
13 Rh 0.6664 0.8332 0.2929
14 Rh 0.8332 0.1668 0.7071
15 Rh 0.8332 0.6664 0.7071

=====

No. 3
Calculated X-ray powder pattern
Compound: Zn2HgO3
Radiation: Cu Ka
Structure: a PBE-relaxed structure

Most intense lines, 10 to 90 degrees two-theta, sorted by position:
2theta, d [Å], I (rel.)
20.47, 4.338, 23
32.04, 2.793, 100
36.88, 2.437, 25
53.80, 1.704, 27
63.47, 1.466, 13
64.58, 1.443, 13

Cell and atoms:
Cell: 11.3994 5.8797 10.9119 Å, 79.36 30.46 70.18°
Sites, in units of the cell vectors:
1 Zn 0.0000 0.0000 0.0000
2 Zn 0.0832 0.4129 0.0888
3 Zn 0.1612 0.8349 0.1668
4 Zn 0.2500 0.2500 0.2500
5 Zn 0.4129 0.0832 0.4151
6 Zn 0.4989 0.4989 0.5011
7 Zn 0.7489 0.7489 0.7511
8 Zn 0.8349 0.1612 0.8371
9 Hg 0.3172 0.6728 0.3404
10 Hg 0.5804 0.9096 0.5772
11 Hg 0.6728 0.3172 0.6696
12 Hg 0.9096 0.5804 0.9328
13 O 0.0813 0.1911 0.2551
14 O 0.0940 0.6233 0.3800
15 O 0.1911 0.0813 0.4725
16 O 0.3236 0.4271 0.5234
17 O 0.3473 0.8700 0.6267
18 O 0.4271 0.3236 0.7259
19 O 0.5241 0.7266 0.8229
20 O 0.6233 0.0940 0.9027
21 O 0.7266 0.5241 0.9264
22 O 0.7775 0.9949 0.0589
23 O 0.8700 0.3473 0.1560
24 O 0.9949 0.7775 0.1687

=====

No. 4
Calculated X-ray powder pattern
Compound: La6CeHo2Tm
Radiation: Cu Ka
Structure: a PBE-relaxed structure

Most intense lines, 10 to 90 degrees two-theta, sorted by position:
2theta, d [Å], I (rel.)
28.10, 3.175, 29
30.18, 2.961, 100
31.24, 2.863, 57
31.89, 2.806, 51
32.58, 2.748, 43
52.92, 1.730, 35

Cell and atoms:
Cell: 6.9682 6.9682 9.0364 Å, 107.74 107.74 59.56°
Sites, in units of the cell vectors:
1 La 0.0969 0.6142 0.6962
2 La 0.1665 0.1665 0.9220
3 La 0.3858 0.9031 0.3038
4 La 0.6142 0.0969 0.6962
5 La 0.8335 0.8335 0.0780
6 La 0.9031 0.3858 0.3038
7 Ce 0.0000 0.0000 0.5000
8 Ho 0.3989 0.3989 0.3194
9 Ho 0.6011 0.6011 0.6806
10 Tm 0.5000 0.5000 0.0000